Theoretical powder XRD pattern
Compound: FeSbO4
Radiation: CuKα
Structure: a cell relaxed with GGA+U

Peak list (8 most intense, 15° ≤ 2θ ≤ 90°, sorted by position)
2θ 24.29, intensity 100
2θ 35.33, intensity 17
2θ 36.02, intensity 17
2θ 36.96, intensity 23
2θ 46.08, intensity 23
2θ 51.34, intensity 17
2θ 52.76, intensity 22
2θ 59.84, intensity 14

Structural model:
abc: 3.9397 3.9397 9.9736
angles: 90.00 90.00 90.00
Space group I-4m2 (No. 119)
Asymmetric unit:
Fe (0.0000, 0.0000, 0.0000) [2 per cell]
Sb (0.0000, 0.5000, 0.7500) [2 per cell]
O (0.0000, 0.0000, 0.2084) [4 per cell]
O (0.0000, 0.5000, 0.5513) [4 per cell]